[1]
Starting from a GGA-PBE-relaxed structure, the powder X-ray diffraction pattern of TbFe6Sn6 was simulated for CuKα.
Peak positions follow from Bragg's law for the DFT cell and can differ from measured ones.

Cell and atoms:
a b c (Å): 8.9349 18.6753 5.4087
angles (deg): 90.00 90.00 90.00
Space group Cmcm (No. 63)
Symmetry-distinct sites (fractional):
Tb  0.0000  0.1272  0.2500 (multiplicity 4)
Fe  0.2466  0.0000  0.0000 (multiplicity 8)
Fe  0.2473  0.1251  0.7500 (multiplicity 8)
Fe  0.2500  0.2500  0.0000 (multiplicity 8)
Sn  0.0000  0.0422  0.7500 (multiplicity 4)
Sn  0.0000  0.2109  0.7500 (multiplicity 4)
Sn  0.0000  0.2948  0.2500 (multiplicity 4)
Sn  0.0000  0.4592  0.2500 (multiplicity 4)
Sn  0.1628  0.3756  0.7500 (multiplicity 8)

Most intense lines, 2θ = 10–90°, low angle first:
Position (°2θ)	intensity
33.18	100
34.72	16
38.50	30
38.98	93
40.38	24
43.69	48
44.97	18
63.11	17
69.71	20
72.49	37

[2]
Starting from a GGA-PBE-relaxed structure, the powder X-ray diffraction pattern of TlFe3Sn5 was simulated for CuKα.
Peak positions follow from Bragg's law for the DFT cell and can differ from measured ones.

Cell and atoms:
a b c (Å): 5.2303 5.2303 8.3897
angles (deg): 90.00 90.00 120.00
Space group P6/mmm (No. 191)
Symmetry-distinct sites (fractional):
Tl  0.0000  0.0000  0.0000 (multiplicity 1)
Fe  0.0000  0.5000  0.5000 (multiplicity 3)
Sn  0.0000  0.0000  0.5000 (multiplicity 1)
Sn  0.3333  0.6667  0.2232 (multiplicity 4)

Most intense lines, 2θ = 10–90°, low angle first:
Position (°2θ)	intensity
29.01	100
34.29	76
37.81	13
43.13	18
45.52	65
56.22	28
58.20	30
61.41	15
72.26	15
88.02	15

[3]
Starting from a GGA-PBE-relaxed structure, the powder X-ray diffraction pattern of UFe5Sn was simulated for CuKα.
Peak positions follow from Bragg's law for the DFT cell and can differ from measured ones.

Cell and atoms:
a b c (Å): 7.9677 4.8075 10.5309
angles (deg): 90.00 90.00 90.00
Space group Pnma (No. 62)
Symmetry-distinct sites (fractional):
U  0.2395  0.2500  0.0585 (multiplicity 4)
Fe  0.0672  0.5012  0.8120 (multiplicity 8)
Fe  0.0678  0.2500  0.6035 (multiplicity 4)
Fe  0.0928  0.7500  0.0184 (multiplicity 4)
Fe  0.1877  0.7500  0.2494 (multiplicity 4)
Sn  0.1330  0.2500  0.3601 (multiplicity 4)

Most intense lines, 2θ = 10–90°, low angle first:
Position (°2θ)	intensity
23.20	30
31.56	44
33.55	32
35.92	57
37.41	39
38.99	71
39.71	100
44.00	26
45.40	30
47.23	27

[4]
Starting from a GGA-PBE-relaxed structure, the powder X-ray diffraction pattern of Zr2Fe3Sn2 was simulated for CuKα.
Peak positions follow from Bragg's law for the DFT cell and can differ from measured ones.

Cell and atoms:
a b c (Å): 4.4032 4.4032 21.3338
angles (deg): 90.00 90.00 120.00
Space group R3m (No. 160, hexagonal axes)
Symmetry-distinct sites (fractional):
Zr  0.0000  0.0000  0.0000 (multiplicity 3)
Zr  0.0000  0.0000  0.4905 (multiplicity 3)
Fe  0.0000  0.0000  0.3654 (multiplicity 3)
Fe  0.0000  0.0000  0.6184 (multiplicity 3)
Fe  0.0000  0.0000  0.8731 (multiplicity 3)
Sn  0.0000  0.0000  0.2414 (multiplicity 3)
Sn  0.0000  0.0000  0.7469 (multiplicity 3)

Most intense lines, 2θ = 10–90°, low angle first:
Position (°2θ)	intensity
28.78	44
40.99	100
41.31	95
50.86	10
59.61	31
74.67	17
74.89	32
75.54	14
88.91	11
89.74	9

[5]
Starting from a GGA-PBE-relaxed structure, the powder X-ray diffraction pattern of Ta3Fe2 was simulated for CuKα.
Peak positions follow from Bragg's law for the DFT cell and can differ from measured ones.

Cell and atoms:
a b c (Å): 5.6907 5.6907 16.9672
angles (deg): 90.00 90.00 120.00
Space group R-3c (No. 167, hexagonal axes)
Symmetry-distinct sites (fractional):
Ta  0.0000  0.4764  0.2500 (multiplicity 18)
Fe  0.0000  0.0000  0.1870 (multiplicity 12)

Most intense lines, 2θ = 10–90°, low angle first:
Position (°2θ)	intensity
27.75	20
31.64	30
38.03	100
42.42	55
45.21	24
46.62	13
57.32	14
65.62	20
66.96	11
74.69	13

[6]
Starting from a GGA-PBE-relaxed structure, the powder X-ray diffraction pattern of TbTlFe was simulated for CuKα.
Peak positions follow from Bragg's law for the DFT cell and can differ from measured ones.

Cell and atoms:
a b c (Å): 6.6049 6.6049 6.6049
angles (deg): 90.00 90.00 90.00
Space group F-43m (No. 216)
Symmetry-distinct sites (fractional):
Tb  0.0000  0.0000  0.0000 (multiplicity 4)
Tl  0.0000  0.0000  0.5000 (multiplicity 4)
Fe  0.2500  0.2500  0.2500 (multiplicity 4)

Most intense lines, 2θ = 10–90°, low angle first:
Position (°2θ)	intensity
23.33	8
27.00	65
38.55	100
45.55	4
47.70	19
55.66	17
62.93	26
69.75	35
82.64	11
88.90	13